No. 1
Diffraction record for NdSiHO4. The powder diffraction line list is simulated, not measured: it uses a GGA-PBE-relaxed structure and a wavelength of 1.5418 Å.

Peak list (10 most intense, 10° ≤ 2θ ≤ 90°, by intensity)
2θ/deg	I/Imax	hkl
29.68	100	2 1 1
27.15	52	0 2 0
22.65	43	0 1 1
40.89	29	4 1 0
18.94	25	2 0 0
36.71	22	0 0 2
49.58	22	2 3 1
56.06	20	0 4 0
33.32	19	2 2 0
26.32	19	2 0 1

Atomic structure:
```
data_NdSiHO4
_chemical_formula_sum 'Nd4 Si4 H4 O16'
_space_group_name_H-M_alt 'P n m a'
_space_group_IT_number 62
_cell_length_a 9.372
_cell_length_b 6.568
_cell_length_c 4.898
_cell_angle_alpha 90.00
_cell_angle_beta 90.00
_cell_angle_gamma 90.00
loop_
_space_group_symop_operation_xyz
'x,y,z'
'-x,-y,-z'
'-x+1/2,-y,z+1/2'
'x+1/2,y,-z+1/2'
'x+1/2,-y+1/2,-z+1/2'
'-x+1/2,y+1/2,z+1/2'
'-x,y+1/2,-z'
'x,-y+1/2,z'
loop_
_atom_site_label
_atom_site_type_symbol
_atom_site_fract_x
_atom_site_fract_y
_atom_site_fract_z
Nd1 Nd 0.212 0.250 0.200
Si1 Si 0.035 0.750 0.215
H1 H 0.000 0.000 0.500
O1 O 0.065 0.750 0.893
O2 O 0.107 0.554 0.377
O3 O 0.137 0.250 0.739
```

***

No. 2
Diffraction record for NiH3. The powder diffraction line list is simulated, not measured: it uses a GGA-PBE-relaxed structure and a wavelength of 1.5418 Å.

Peak list (10 most intense, 10° ≤ 2θ ≤ 90°, by intensity)
2θ/deg	I/Imax	hkl
31.10	100	0 1 2
44.11	37	1 0 4
45.01	33	1 1 0
55.73	17	2 0 2
73.01	15	1 1 6
74.33	14	1 2 2
64.85	11	0 2 4
82.42	10	2 1 4
54.18	6	0 0 6
80.50	5	0 1 8

Atomic structure:
```
data_NiH3
_chemical_formula_sum 'Ni6 H18'
_space_group_name_H-M_alt 'R -3 c'
_space_group_IT_number 167
_space_group_name_Hall '-R 3 2"c'
_cell_length_a 4.0278
_cell_length_b 4.0278
_cell_length_c 10.1573
_cell_angle_alpha 90.00
_cell_angle_beta 90.00
_cell_angle_gamma 120.00
loop_
_atom_site_label
_atom_site_type_symbol
_atom_site_fract_x
_atom_site_fract_y
_atom_site_fract_z
Ni1 Ni 0.0000 0.0000 0.0000
H1 H 0.0000 0.3419 0.2500
```

***

No. 3
Diffraction record for PrNiH2Pb. The powder diffraction line list is simulated, not measured: it uses a GGA-PBE-relaxed structure and a wavelength of 1.5418 Å.

Peak list (10 most intense, 10° ≤ 2θ ≤ 90°, by intensity)
2θ/deg	I/Imax	hkl
31.13	100	2 0 2
40.30	56	0 2 0
59.80	35	4 2 0
25.22	31	1 0 2
51.78	24	2 2 2
42.23	16	4 0 0
67.56	14	2 3 1
39.21	11	3 0 2
70.32	10	6 1 1
20.76	9	2 0 0

Atomic structure:
```
data_PrNiH2Pb
_chemical_formula_sum 'Pr4 Ni4 H8 Pb4'
_space_group_name_H-M_alt 'P n m a'
_space_group_IT_number 62
_cell_length_a 8.559
_cell_length_b 4.480
_cell_length_c 7.745
_cell_angle_alpha 90.00
_cell_angle_beta 90.00
_cell_angle_gamma 90.00
loop_
_space_group_symop_operation_xyz
'x,y,z'
'-x,-y,-z'
'-x+1/2,-y,z+1/2'
'x+1/2,y,-z+1/2'
'x+1/2,-y+1/2,-z+1/2'
'-x+1/2,y+1/2,z+1/2'
'-x,y+1/2,-z'
'x,-y+1/2,z'
loop_
_atom_site_label
_atom_site_type_symbol
_atom_site_fract_x
_atom_site_fract_y
_atom_site_fract_z
Pr1 Pr 0.000 0.250 0.250
Ni1 Ni 0.249 0.250 0.583
H1 H 0.062 0.250 0.583
H2 H 0.063 0.750 0.083
Pb1 Pb 0.250 0.250 0.917
```

***

No. 4
Diffraction record for Sr2NiH6Pt. The powder diffraction line list is simulated, not measured: it uses a GGA-PBE-relaxed structure and a wavelength of 1.5418 Å.

Peak list (10 most intense, 10° ≤ 2θ ≤ 90°, by intensity)
2θ/deg	I/Imax	hkl
33.84	100	2 2 0
60.54	37	4 2 2
20.53	19	1 1 1
48.61	19	4 0 0
81.20	16	6 2 0
71.19	12	4 4 0
39.91	11	3 1 1
53.30	5	3 3 1
23.75	5	2 0 0
75.00	4	5 3 1

Atomic structure:
```
data_Sr2NiH6Pt
_chemical_formula_sum 'Sr8 Ni4 H24 Pt4'
_space_group_name_H-M_alt 'F m -3 m'
_space_group_IT_number 225
_space_group_name_Hall '-F 4 2 3'
_cell_length_a 7.492
_cell_length_b 7.492
_cell_length_c 7.492
_cell_angle_alpha 90.00
_cell_angle_beta 90.00
_cell_angle_gamma 90.00
loop_
_atom_site_label
_atom_site_type_symbol
_atom_site_fract_x
_atom_site_fract_y
_atom_site_fract_z
Sr1 Sr 0.250 0.250 0.250
Ni1 Ni 0.000 0.000 0.000
H1 H 0.000 0.000 0.238
Pt1 Pt 0.000 0.000 0.500
```

***

No. 5
Diffraction record for SiNi3H. The powder diffraction line list is simulated, not measured: it uses a GGA-PBE-relaxed structure and a wavelength of 1.5418 Å.

Peak list (10 most intense, 10° ≤ 2θ ≤ 90°, by intensity)
2θ/deg	I/Imax	hkl
44.02	100	2 0 2
42.62	35	2 1 1
49.28	24	0 0 4
52.26	23	2 2 0
74.67	15	2 2 4
55.81	15	2 1 3
35.30	12	1 1 2
88.63	12	2 0 6
81.15	11	4 1 1
59.00	6	3 1 0

Atomic structure:
```
data_SiNi3H
_chemical_formula_sum 'Si4 Ni12 H4'
_space_group_name_H-M_alt 'I 4/m c m'
_space_group_IT_number 140
_space_group_name_Hall '-I 4 2c'
_cell_length_a 4.951
_cell_length_b 4.951
_cell_length_c 7.396
_cell_angle_alpha 90.00
_cell_angle_beta 90.00
_cell_angle_gamma 90.00
loop_
_atom_site_label
_atom_site_type_symbol
_atom_site_fract_x
_atom_site_fract_y
_atom_site_fract_z
Si1 Si 0.000 0.500 0.250
Ni1 Ni 0.000 0.000 0.250
Ni2 Ni 0.196 0.304 0.000
H1 H 0.000 0.000 0.000
```